Entry 1:
# Ce3Si2Ni2
Simulated PXRD pattern, Cu Kα, 1.54184 Å. Input: a crystal structure in Alexandria, relaxed with GGA-PBE.

Cell and atoms:
```
Ce3Si2Ni2
1.0
-1.9881 2.0447 8.9005
1.9881 -2.0447 8.9005
1.9881 2.0447 -8.9005
Ce Si Ni
3 2 2
Direct
0.0000 0.0000 0.0000
0.3150 0.8150 0.5000
0.6850 0.1850 0.5000
0.1348 0.6348 0.5000
0.8652 0.3652 0.5000
0.4316 0.4316 0.0000
0.5684 0.5684 0.0000
```

Largest 6 diffraction maxima, sorted by position, 5° ≤ 2θ ≤ 70°:
- d = 3.367 Å, 2θ 26.47, intensity 49
- d = 2.715 Å, 2θ 32.99, intensity 100
- d = 2.652 Å, 2θ 33.79, intensity 62
- d = 2.160 Å, 2θ 41.83, intensity 23
- d = 2.045 Å, 2θ 44.30, intensity 22
- d = 1.619 Å, 2θ 56.86, intensity 27

Entry 2:
# Ce2RuPb
Simulated PXRD pattern, Cu Kα, 1.54184 Å. Input: a crystal structure in Alexandria, relaxed with GGA-PBE.

Cell and atoms:
```
Ce2RuPb
1.0
6.7719 0.0000 0.0000
0.0000 5.2577 0.0000
0.0000 0.0000 12.0168
Ce Ru Pb
8 4 4
Direct
0.0359 0.2500 0.2434
0.2223 0.2500 0.5510
0.2777 0.7500 0.0510
0.4641 0.7500 0.7434
0.5359 0.2500 0.2566
0.7223 0.2500 0.9490
0.7777 0.7500 0.4490
0.9641 0.7500 0.7566
0.2187 0.7500 0.5900
0.2813 0.2500 0.0900
0.7187 0.7500 0.9100
0.7813 0.2500 0.4100
0.2166 0.2500 0.8560
0.2834 0.7500 0.3560
0.7166 0.2500 0.6440
0.7834 0.7500 0.1440
```

Largest 6 diffraction maxima, sorted by position, 5° ≤ 2θ ≤ 70°:
- d = 3.386 Å, 2θ 26.32, intensity 41
- d = 3.186 Å, 2θ 28.00, intensity 46
- d = 2.883 Å, 2θ 31.02, intensity 100
- d = 2.770 Å, 2θ 32.32, intensity 80
- d = 2.746 Å, 2θ 32.61, intensity 50
- d = 2.629 Å, 2θ 34.11, intensity 87